[1]
The following is a computed PXRD pattern of Tl2AuBr8. It was derived from a crystal structure in Alexandria, relaxed with PBE, using Cu Kα (weighted mean of Kα1 and Kα2).
Lines closer than 0.1° are merged.

Cell and atoms:
abc: 10.6331 10.6331 13.4256
angles: 126.20 126.20 54.98
Sites, in units of the cell vectors:
1 Tl 0.1364 0.7439 0.9403
2 Tl 0.2561 0.8636 0.5597
3 Tl 0.7439 0.1364 0.4403
4 Tl 0.8636 0.2561 0.0597
5 Au 0.3570 0.6430 0.7500
6 Au 0.6430 0.3570 0.2500
7 Br 0.0586 0.1152 0.6906
8 Br 0.1152 0.0586 0.1906
9 Br 0.1153 0.5882 0.0163
10 Br 0.2050 0.4861 0.7045
11 Br 0.2400 0.5751 0.4923
12 Br 0.4118 0.8847 0.4837
13 Br 0.4249 0.7600 0.0077
14 Br 0.4861 0.2050 0.2045
15 Br 0.5139 0.7950 0.7955
16 Br 0.5751 0.2400 0.9923
17 Br 0.5882 0.1153 0.5163
18 Br 0.7600 0.4249 0.5077
19 Br 0.7950 0.5139 0.2955
20 Br 0.8847 0.4118 0.9837
21 Br 0.8848 0.9414 0.8094
22 Br 0.9414 0.8848 0.3094

Largest 10 diffraction maxima, by angle, 10 to 80 degrees two-theta:
Position (°2θ), intensity
11.17, 258
12.58, 1000
16.55, 848
17.51, 344
18.07, 384
20.40, 359
25.40, 441
27.40, 342
32.41, 352
34.64, 505



[2]
The following is a computed PXRD pattern of V2AuBr8. It was derived from a crystal structure in Alexandria, relaxed with PBE, using Cu Kα (weighted mean of Kα1 and Kα2).
Lines closer than 0.1° are merged.

Cell and atoms:
abc: 8.4180 8.4180 6.9565
angles: 96.89 96.89 67.87
Sites, in units of the cell vectors:
1 V 0.1915 0.1915 0.3224
2 V 0.8085 0.8085 0.6776
3 Au 0.0000 0.0000 0.5000
4 Br 0.0791 0.6702 0.8300
5 Br 0.1674 0.1674 0.6630
6 Br 0.3298 0.9209 0.1700
7 Br 0.3584 0.3584 0.3381
8 Br 0.6416 0.6416 0.6619
9 Br 0.6702 0.0791 0.8300
10 Br 0.8326 0.8326 0.3370
11 Br 0.9209 0.3298 0.1700

Largest 10 diffraction maxima, by angle, 10 to 80 degrees two-theta:
Position (°2θ), intensity
11.39, 1000
12.86, 326
17.90, 437
18.89, 267
22.92, 821
25.39, 622
27.22, 580
31.63, 288
43.71, 303
47.51, 235



[3]
The following is a computed PXRD pattern of Y2AuBr2. It was derived from a crystal structure in Alexandria, relaxed with PBE, using Cu Kα (weighted mean of Kα1 and Kα2).
Lines closer than 0.1° are merged.

Cell and atoms:
abc: 3.9704 3.9704 33.6162
angles: 90.00 90.00 120.00
Sites, in units of the cell vectors:
1 Y 0.0000 0.0000 0.1116
2 Y 0.0000 0.0000 0.8884
3 Y 0.3333 0.6667 0.5551
4 Y 0.3333 0.6667 0.7783
5 Y 0.6667 0.3333 0.2217
6 Y 0.6667 0.3333 0.4449
7 Au 0.0000 0.0000 0.5000
8 Au 0.3333 0.6667 0.1667
9 Au 0.6667 0.3333 0.8333
10 Br 0.0000 0.0000 0.2774
11 Br 0.0000 0.0000 0.7226
12 Br 0.3333 0.6667 0.3893
13 Br 0.3333 0.6667 0.9440
14 Br 0.6667 0.3333 0.0560
15 Br 0.6667 0.3333 0.6107

Largest 10 diffraction maxima, by angle, 10 to 80 degrees two-theta:
Position (°2θ), intensity
28.04, 105
29.17, 1000
33.68, 391
37.41, 271
43.80, 338
45.70, 352
55.14, 165
65.16, 103
69.05, 203
74.34, 135



[4]
The following is a computed PXRD pattern of YAuBr. It was derived from a crystal structure in Alexandria, relaxed with PBE, using Cu Kα (weighted mean of Kα1 and Kα2).
Lines closer than 0.1° are merged.

Cell and atoms:
abc: 22.4794 4.8233 3.7499
angles: 90.00 99.05 90.00
Sites, in units of the cell vectors:
1 Y 0.1790 0.0000 0.4333
2 Y 0.3210 0.5000 0.5667
3 Y 0.6790 0.5000 0.4333
4 Y 0.8210 0.0000 0.5667
5 Au 0.2149 0.5000 0.9669
6 Au 0.2851 0.0000 0.0331
7 Au 0.7149 0.0000 0.9669
8 Au 0.7851 0.5000 0.0331
9 Br 0.0842 0.0000 0.8439
10 Br 0.4158 0.5000 0.1561
11 Br 0.5842 0.5000 0.8439
12 Br 0.9158 0.0000 0.1561

Largest 10 diffraction maxima, by angle, 10 to 80 degrees two-theta:
Position (°2θ), intensity
24.07, 598
27.30, 571
31.36, 333
34.22, 971
34.44, 1000
37.29, 628
38.81, 427
39.11, 374
41.10, 378
48.92, 317



[5]
The following is a computed PXRD pattern of ZrAuBr2. It was derived from a crystal structure in Alexandria, relaxed with PBE, using Cu Kα (weighted mean of Kα1 and Kα2).
Lines closer than 0.1° are merged.

Cell and atoms:
abc: 5.5263 14.2399 3.5139
angles: 90.00 90.00 90.00
Sites, in units of the cell vectors:
1 Zr 0.0000 0.0000 0.0000
2 Zr 0.5000 0.5000 0.0000
3 Au 0.0000 0.5000 0.0000
4 Au 0.5000 0.0000 0.0000
5 Br 0.0000 0.1431 0.5000
6 Br 0.0000 0.8569 0.5000
7 Br 0.5000 0.3569 0.5000
8 Br 0.5000 0.6431 0.5000

Largest 10 diffraction maxima, by angle, 10 to 80 degrees two-theta:
Position (°2θ), intensity
12.43, 1000
24.73, 417
28.32, 504
30.80, 322
32.40, 343
34.83, 176
35.91, 482
37.91, 168
43.56, 315
49.14, 393



[6]
The following is a computed PXRD pattern of Au4C23. It was derived from a crystal structure in Alexandria, relaxed with PBE, using Cu Kα (weighted mean of Kα1 and Kα2).
Lines closer than 0.1° are merged.

Cell and atoms:
abc: 7.5408 7.5408 7.5408
angles: 90.00 90.00 90.00
Sites, in units of the cell vectors:
1 Au 0.0000 0.0000 0.0000
2 Au 0.0000 0.2500 0.5000
3 Au 0.0000 0.7500 0.5000
4 Au 0.2500 0.5000 0.0000
5 Au 0.5000 0.0000 0.2500
6 Au 0.5000 0.0000 0.7500
7 Au 0.5000 0.5000 0.5000
8 Au 0.7500 0.5000 0.0000
9 C 0.0000 0.2751 0.2204
10 C 0.0000 0.2751 0.7796
11 C 0.0000 0.5000 0.2500
12 C 0.0000 0.5000 0.7500
13 C 0.0000 0.7249 0.2204
14 C 0.0000 0.7249 0.7796
15 C 0.1881 0.1881 0.1881
16 C 0.1881 0.1881 0.8119
17 C 0.1881 0.8119 0.1881
18 C 0.1881 0.8119 0.8119
19 C 0.2204 0.0000 0.2751
20 C 0.2204 0.0000 0.7249
21 C 0.2249 0.5000 0.2796
22 C 0.2249 0.5000 0.7204
23 C 0.2500 0.0000 0.5000
24 C 0.2751 0.2204 0.0000
25 C 0.2751 0.7796 0.0000
26 C 0.2796 0.2249 0.5000
27 C 0.2796 0.7751 0.5000
28 C 0.3119 0.3119 0.3119
29 C 0.3119 0.3119 0.6881
30 C 0.3119 0.6881 0.3119
31 C 0.3119 0.6881 0.6881
32 C 0.5000 0.2500 0.0000
33 C 0.5000 0.2796 0.2249
34 C 0.5000 0.2796 0.7751
35 C 0.5000 0.7204 0.2249
36 C 0.5000 0.7204 0.7751
37 C 0.5000 0.7500 0.0000
38 C 0.6881 0.3119 0.3119
39 C 0.6881 0.3119 0.6881
40 C 0.6881 0.6881 0.3119
41 C 0.6881 0.6881 0.6881
42 C 0.7204 0.2249 0.5000
43 C 0.7204 0.7751 0.5000
44 C 0.7249 0.2204 0.0000
45 C 0.7249 0.7796 0.0000
46 C 0.7500 0.0000 0.5000
47 C 0.7751 0.5000 0.2796
48 C 0.7751 0.5000 0.7204
49 C 0.7796 0.0000 0.2751
50 C 0.7796 0.0000 0.7249
51 C 0.8119 0.1881 0.1881
52 C 0.8119 0.1881 0.8119
53 C 0.8119 0.8119 0.1881
54 C 0.8119 0.8119 0.8119

Largest 10 diffraction maxima, by angle, 10 to 80 degrees two-theta:
Position (°2θ), intensity
23.60, 222
26.43, 1000
29.00, 978
43.26, 371
44.98, 709
48.28, 328
55.87, 280
66.81, 268
70.66, 199
78.13, 226



[7]
The following is a computed PXRD pattern of Au2C3. It was derived from a crystal structure in Alexandria, relaxed with PBE, using Cu Kα (weighted mean of Kα1 and Kα2).
Lines closer than 0.1° are merged.

Cell and atoms:
abc: 9.8684 8.6791 6.1929
angles: 81.28 60.38 38.34
Sites, in units of the cell vectors:
1 Au 0.1251 0.1251 0.6249
2 Au 0.3751 0.3751 0.8749
3 Au 0.6249 0.6249 0.1251
4 Au 0.8749 0.8749 0.3751
5 C 0.0066 0.2434 0.0066
6 C 0.1250 0.1250 0.1250
7 C 0.2434 0.0066 0.2434
8 C 0.7566 0.9934 0.7566
9 C 0.8750 0.8750 0.8750
10 C 0.9934 0.7566 0.9934

Largest 10 diffraction maxima, by angle, 10 to 80 degrees two-theta:
Position (°2θ), intensity
19.45, 1000
21.69, 507
32.58, 149
33.24, 249
35.44, 266
36.74, 213
39.48, 178
41.93, 334
47.24, 235
57.49, 131



[8]
The following is a computed PXRD pattern of KCdAu3C6N6. It was derived from a crystal structure in Alexandria, relaxed with PBE, using Cu Kα (weighted mean of Kα1 and Kα2).
Lines closer than 0.1° are merged.

Cell and atoms:
abc: 7.1852 7.1852 8.1424
angles: 90.00 90.00 120.00
Sites, in units of the cell vectors:
1 K 0.0000 0.0000 0.0000
2 Cd 0.6667 0.3333 0.0000
3 Au 0.1728 0.3455 0.5000
4 Au 0.1728 0.8272 0.5000
5 Au 0.6545 0.8272 0.5000
6 C 0.0216 0.3376 0.7071
7 C 0.0216 0.6840 0.2929
8 C 0.3160 0.3376 0.2929
9 C 0.3160 0.9784 0.7071
10 C 0.6624 0.6840 0.7071
11 C 0.6624 0.9784 0.2929
12 N 0.3973 0.0721 0.8283
13 N 0.3973 0.3253 0.1717
14 N 0.6747 0.0721 0.1717
15 N 0.6747 0.6027 0.8283
16 N 0.9279 0.3253 0.8283
17 N 0.9279 0.6027 0.1717

Largest 10 diffraction maxima, by angle, 10 to 80 degrees two-theta:
Position (°2θ), intensity
10.87, 804
17.94, 1000
21.83, 433
27.13, 509
28.69, 742
30.76, 731
36.34, 864
44.29, 230
53.82, 287
55.95, 307